(1)
Simulated X-ray diffraction stick pattern of Zr5MoN6 for Cu Kα X-rays, from a GGA-PBE-relaxed structure.

Cell and atoms:
```
data_Zr5MoN6
_chemical_formula_sum 'Zr5 Mo1 N6'
_cell_length_a 5.615
_cell_length_b 5.615
_cell_length_c 5.582
_cell_angle_alpha 99.57
_cell_angle_beta 99.57
_cell_angle_gamma 120.13
_symmetry_space_group_name_H-M 'P 1'
_symmetry_Int_Tables_number 1
_symmetry_space_group_name_Hall 'P 1'
loop_
_atom_site_label
_atom_site_type_symbol
_atom_site_fract_x
_atom_site_fract_y
_atom_site_fract_z
Zr1 Zr 0.000 0.000 0.000
Zr2 Zr 0.166 0.834 0.500
Zr3 Zr 0.339 0.661 0.000
Zr4 Zr 0.661 0.339 0.000
Zr5 Zr 0.834 0.166 0.500
Mo1 Mo 0.500 0.500 0.500
N1 N 0.080 0.417 0.248
N2 N 0.248 0.248 0.748
N3 N 0.417 0.080 0.248
N4 N 0.583 0.920 0.752
N5 N 0.752 0.752 0.252
N6 N 0.920 0.583 0.752
```

Main lines, low angle first (10° ≤ 2θ ≤ 90°):
2θ 33.91, I 100; 2θ 34.07, I 33; 2θ 39.37, I 78; 2θ 39.47, I 39; 2θ 56.76, I 12; 2θ 56.87, I 25; 2θ 57.05, I 37; 2θ 67.83, I 18; 2θ 67.94, I 14; 2θ 68.07, I 18



(2)
Simulated X-ray diffraction stick pattern of Nd2Be4GaPt3 for Cu Kα X-rays, from a GGA-PBE-relaxed structure.

Cell and atoms:
```
data_Nd2Be4GaPt3
_chemical_formula_sum 'Nd2 Be4 Ga1 Pt3'
_cell_length_a 4.058
_cell_length_b 4.058
_cell_length_c 9.853
_cell_angle_alpha 90.00
_cell_angle_beta 90.00
_cell_angle_gamma 90.00
_symmetry_space_group_name_H-M 'P 1'
_symmetry_Int_Tables_number 1
_symmetry_space_group_name_Hall 'P 1'
loop_
_atom_site_label
_atom_site_type_symbol
_atom_site_fract_x
_atom_site_fract_y
_atom_site_fract_z
Nd1 Nd 0.000 0.500 0.249
Nd2 Nd 0.500 0.000 0.751
Be1 Be 0.000 0.000 0.000
Be2 Be 0.000 0.500 0.634
Be3 Be 0.500 0.000 0.366
Be4 Be 0.500 0.500 0.000
Ga1 Ga 0.000 0.000 0.500
Pt1 Pt 0.000 0.500 0.883
Pt2 Pt 0.500 0.000 0.117
Pt3 Pt 0.500 0.500 0.500
```

Main lines, low angle first (10° ≤ 2θ ≤ 90°):
2θ 27.15, I 30; 2θ 28.50, I 66; 2θ 31.17, I 30; 2θ 32.50, I 92; 2θ 35.15, I 100; 2θ 36.23, I 69; 2θ 44.67, I 63; 2θ 51.56, I 24; 2θ 53.84, I 24; 2θ 58.07, I 48



(3)
Simulated X-ray diffraction stick pattern of Ce2Sb3Au for Cu Kα X-rays, from a GGA-PBE-relaxed structure.

Cell and atoms:
```
data_Ce2Sb3Au
_chemical_formula_sum 'Ce2 Sb3 Au1'
_cell_length_a 7.226
_cell_length_b 7.226
_cell_length_c 7.226
_cell_angle_alpha 143.17
_cell_angle_beta 127.41
_cell_angle_gamma 65.92
_symmetry_space_group_name_H-M 'P 1'
_symmetry_Int_Tables_number 1
_symmetry_space_group_name_Hall 'P 1'
loop_
_atom_site_label
_atom_site_type_symbol
_atom_site_fract_x
_atom_site_fract_y
_atom_site_fract_z
Ce1 Ce 0.179 0.179 0.000
Ce2 Ce 0.821 0.821 0.000
Sb1 Sb 0.000 0.500 0.500
Sb2 Sb 0.353 0.853 0.500
Sb3 Sb 0.647 0.147 0.500
Au1 Au 0.500 0.500 0.000
```

Main lines, low angle first (10° ≤ 2θ ≤ 90°):
2θ 27.87, I 61; 2θ 29.52, I 100; 2θ 39.48, I 24; 2θ 41.04, I 82; 2θ 44.85, I 13; 2θ 49.01, I 26; 2θ 53.63, I 16; 2θ 66.03, I 20; 2θ 68.60, I 15; 2θ 72.66, I 15



(4)
Simulated X-ray diffraction stick pattern of CaZn2Ga for Cu Kα X-rays, from a GGA-PBE-relaxed structure.

Cell and atoms:
```
data_CaZn2Ga
_chemical_formula_sum 'Ca2 Zn4 Ga2'
_cell_length_a 4.068
_cell_length_b 4.068
_cell_length_c 9.989
_cell_angle_alpha 90.00
_cell_angle_beta 90.00
_cell_angle_gamma 90.00
_symmetry_space_group_name_H-M 'P 1'
_symmetry_Int_Tables_number 1
_symmetry_space_group_name_Hall 'P 1'
loop_
_atom_site_label
_atom_site_type_symbol
_atom_site_fract_x
_atom_site_fract_y
_atom_site_fract_z
Ca1 Ca 0.250 0.250 0.236
Ca2 Ca 0.750 0.750 0.764
Zn1 Zn 0.250 0.250 0.933
Zn2 Zn 0.250 0.750 0.500
Zn3 Zn 0.750 0.250 0.500
Zn4 Zn 0.750 0.750 0.067
Ga1 Ga 0.250 0.250 0.661
Ga2 Ga 0.750 0.750 0.339
```

Main lines, low angle first (10° ≤ 2θ ≤ 90°):
2θ 23.61, I 39; 2θ 31.09, I 56; 2θ 32.39, I 77; 2θ 34.82, I 82; 2θ 36.02, I 58; 2θ 41.48, I 89; 2θ 42.48, I 72; 2θ 44.54, I 100; 2θ 57.74, I 35; 2θ 63.24, I 41



(5)
Simulated X-ray diffraction stick pattern of PmHoCdAu for Cu Kα X-rays, from a GGA-PBE-relaxed structure.

Cell and atoms:
```
data_PmHoCdAu
_chemical_formula_sum 'Pm1 Ho1 Cd1 Au1'
_cell_length_a 3.697
_cell_length_b 3.697
_cell_length_c 7.448
_cell_angle_alpha 90.00
_cell_angle_beta 90.00
_cell_angle_gamma 90.00
_symmetry_space_group_name_H-M 'P 1'
_symmetry_Int_Tables_number 1
_symmetry_space_group_name_Hall 'P 1'
loop_
_atom_site_label
_atom_site_type_symbol
_atom_site_fract_x
_atom_site_fract_y
_atom_site_fract_z
Pm1 Pm 0.000 0.000 0.000
Ho1 Ho 0.000 0.000 0.473
Cd1 Cd 0.500 0.500 0.726
Au1 Au 0.500 0.500 0.260
```

Main lines, low angle first (10° ≤ 2θ ≤ 90°):
2θ 11.88, I 10; 2θ 34.17, I 100; 2θ 34.30, I 52; 2θ 48.92, I 8; 2θ 49.30, I 19; 2θ 61.10, I 16; 2θ 61.35, I 37; 2θ 71.98, I 10; 2θ 72.28, I 6; 2θ 82.47, I 17



(6)
Simulated X-ray diffraction stick pattern of Ti4Ga6Ir7 for Cu Kα X-rays, from a GGA-PBE-relaxed structure.

Cell and atoms:
```
data_Ti4Ga6Ir7
_chemical_formula_sum 'Ti4 Ga6 Ir7'
_cell_length_a 6.986
_cell_length_b 6.986
_cell_length_c 6.986
_cell_angle_alpha 109.47
_cell_angle_beta 109.47
_cell_angle_gamma 109.47
_symmetry_space_group_name_H-M 'P 1'
_symmetry_Int_Tables_number 1
_symmetry_space_group_name_Hall 'P 1'
loop_
_atom_site_label
_atom_site_type_symbol
_atom_site_fract_x
_atom_site_fract_y
_atom_site_fract_z
Ti1 Ti 0.000 0.000 0.500
Ti2 Ti 0.000 0.500 0.000
Ti3 Ti 0.500 0.000 0.000
Ti4 Ti 0.500 0.500 0.500
Ga1 Ga 0.000 0.303 0.303
Ga2 Ga 0.000 0.697 0.697
Ga3 Ga 0.303 0.000 0.303
Ga4 Ga 0.303 0.303 0.000
Ga5 Ga 0.697 0.000 0.697
Ga6 Ga 0.697 0.697 0.000
Ir1 Ir 0.000 0.000 0.000
Ir2 Ir 0.250 0.500 0.750
Ir3 Ir 0.250 0.750 0.500
Ir4 Ir 0.500 0.250 0.750
Ir5 Ir 0.500 0.750 0.250
Ir6 Ir 0.750 0.250 0.500
Ir7 Ir 0.750 0.500 0.250
```

Main lines, low angle first (10° ≤ 2θ ≤ 90°):
2θ 22.04, I 43; 2θ 27.08, I 43; 2θ 38.67, I 100; 2θ 41.90, I 61; 2θ 44.95, I 76; 2θ 53.26, I 27; 2θ 65.45, I 43; 2θ 78.68, I 29; 2θ 80.81, I 16; 2θ 89.22, I 18



(7)
Simulated X-ray diffraction stick pattern of Li2AlTcH6 for Cu Kα X-rays, from a GGA-PBE-relaxed structure.

Cell and atoms:
```
data_Li2AlTcH6
_chemical_formula_sum 'Li4 Al2 Tc2 H12'
_cell_length_a 4.877
_cell_length_b 5.635
_cell_length_c 5.902
_cell_angle_alpha 90.00
_cell_angle_beta 90.00
_cell_angle_gamma 90.00
_symmetry_space_group_name_H-M 'P 1'
_symmetry_Int_Tables_number 1
_symmetry_space_group_name_Hall 'P 1'
loop_
_atom_site_label
_atom_site_type_symbol
_atom_site_fract_x
_atom_site_fract_y
_atom_site_fract_z
Li1 Li 0.250 0.007 0.105
Li2 Li 0.250 0.493 0.105
Li3 Li 0.750 0.507 0.895
Li4 Li 0.750 0.993 0.895
Al1 Al 0.250 0.250 0.519
Al2 Al 0.750 0.750 0.481
Tc1 Tc 0.250 0.750 0.709
Tc2 Tc 0.750 0.250 0.291
H1 H 0.028 0.750 0.944
H2 H 0.101 0.750 0.446
H3 H 0.250 0.057 0.759
H4 H 0.250 0.443 0.759
H5 H 0.399 0.750 0.446
H6 H 0.472 0.750 0.944
H7 H 0.528 0.250 0.056
H8 H 0.601 0.250 0.554
H9 H 0.750 0.557 0.241
H10 H 0.750 0.943 0.241
H11 H 0.899 0.250 0.554
H12 H 0.972 0.250 0.056
```

Main lines, low angle first (10° ≤ 2θ ≤ 90°):
2θ 15.01, I 28; 2θ 21.81, I 100; 2θ 23.66, I 90; 2θ 24.13, I 50; 2θ 31.76, I 33; 2θ 36.86, I 28; 2θ 39.09, I 61; 2θ 39.99, I 56; 2θ 43.23, I 32; 2θ 52.74, I 19